[1]
TiTl4S4: theoretical XRD peak list (Cu Kα (λ = 1.5418 Å)), based on the GGA-PBE geometry in the Materials Project.
Peak positions follow from Bragg's law for the DFT cell and can differ from measured ones.

The 8 most intense peaks (2θ from 10° to 90°), in order of rising 2θ:
23.32 deg, I 100, (0 0 4); 23.66 deg, I 76, (1 2 0); 24.02 deg, I 54, (2 1 0); 26.09 deg, I 50, (2 1 1); 29.25 deg, I 42, (2 1 -4); 31.28 deg, I 57, (1 2 -4); 33.24 deg, I 36, (3 1 -1); 33.61 deg, I 38, (1 3 -1)

Atomic structure:
```
data_TiTl4S4
_symmetry_space_group_name_H-M 'P 1 21/c 1'
_symmetry_Int_Tables_number 14
_cell_length_a 8.5616
_cell_length_b 8.4529
_cell_length_c 15.8434
_cell_angle_alpha 90.00
_cell_angle_beta 105.67
_cell_angle_gamma 90.00
loop_
_symmetry_equiv_pos_as_xyz
'x,y,z'
'-x,-y,-z'
'-x,y+1/2,-z+1/2'
'x,-y+1/2,z+1/2'
loop_
_atom_site_label
_atom_site_fract_x
_atom_site_fract_y
_atom_site_fract_z
Ti1 0.2091 0.1116 0.3779
Tl1 0.0263 0.5082 0.6332
Tl2 0.1775 0.0989 0.6230
Tl3 0.3850 0.7230 0.3587
Tl4 0.4130 0.6834 0.6083
S1 0.0425 0.6688 0.2114
S2 0.1841 0.6062 0.9597
S3 0.2990 0.1747 0.9631
S4 0.3826 0.0552 0.2960
```

***

[2]
Ti5TlS8: theoretical XRD peak list (Cu Kα (λ = 1.5418 Å)), based on the GGA-PBE geometry in the Materials Project.
Peak positions follow from Bragg's law for the DFT cell and can differ from measured ones.

The 8 most intense peaks (2θ from 10° to 90°), in order of rising 2θ:
20.56 deg, I 55, (0 1 -2); 20.77 deg, I 46, (0 2 0); 25.40 deg, I 32, (0 2 1); 32.87 deg, I 100, (1 1 1); 34.15 deg, I 26, (1 -2 1); 34.29 deg, I 27, (1 2 -2); 40.84 deg, I 27, (1 3 -2); 41.88 deg, I 28, (0 2 3)

Atomic structure:
```
data_Ti5TlS8
_symmetry_space_group_name_H-M 'P -1'
_symmetry_Int_Tables_number 2
_cell_length_a 3.5128
_cell_length_b 8.8303
_cell_length_c 9.1035
_cell_angle_alpha 104.05
_cell_angle_beta 101.04
_cell_angle_gamma 90.25
loop_
_symmetry_equiv_pos_as_xyz
'x,y,z'
'-x,-y,-z'
loop_
_atom_site_label
_atom_site_fract_x
_atom_site_fract_y
_atom_site_fract_z
Ti1 0.0000 0.0000 0.0000
Ti2 0.2931 0.6535 0.5812
Ti3 0.3442 0.0046 0.6793
Tl1 0.5000 0.5000 0.0000
S1 0.0823 0.8295 0.1768
S2 0.1628 0.4915 0.3248
S3 0.2372 0.1667 0.4808
S4 0.4245 0.8339 0.8486
```

***

[3]
TiTl4S4: theoretical XRD peak list (Cu Kα (λ = 1.5418 Å)), based on the GGA-PBE geometry in the Materials Project.
Peak positions follow from Bragg's law for the DFT cell and can differ from measured ones.

The 8 most intense peaks (2θ from 10° to 90°), in order of rising 2θ:
23.32 deg, I 100, (0 0 4); 23.66 deg, I 75, (2 1 0); 24.02 deg, I 54, (1 -2 0); 26.09 deg, I 49, (-1 2 1); 29.25 deg, I 42, (1 -2 4); 31.28 deg, I 55, (2 1 -4); 33.24 deg, I 38, (1 -3 1); 33.61 deg, I 38, (3 1 -1)

Atomic structure:
```
data_TiTl4S4
_symmetry_space_group_name_H-M 'P 1'
_symmetry_Int_Tables_number 1
_cell_length_a 8.4529
_cell_length_b 8.5616
_cell_length_c 15.8434
_cell_angle_alpha 105.67
_cell_angle_beta 90.00
_cell_angle_gamma 90.00
loop_
_symmetry_equiv_pos_as_xyz
'x,y,z'
loop_
_atom_site_label
_atom_site_fract_x
_atom_site_fract_y
_atom_site_fract_z
Ti1 0.0000 0.0000 0.0000
Ti2 0.2185 0.5777 0.2475
Ti3 0.4894 0.5784 0.7436
Ti4 0.7143 0.9937 0.5015
Tl1 0.0099 0.9660 0.2427
Tl2 0.0952 0.7571 0.4876
Tl3 0.1181 0.8145 0.7584
Tl4 0.2043 0.6071 0.0015
Tl5 0.2890 0.1957 0.7287
Tl6 0.3332 0.1715 0.4786
Tl7 0.3889 0.1747 0.9825
Tl8 0.4233 0.1953 0.2291
Tl9 0.5036 0.6090 0.5014
Tl10 0.5952 0.8189 0.2552
Tl11 0.6112 0.7644 0.9918
Tl12 0.7108 0.9658 0.7442
Tl13 0.7861 0.3792 0.0158
Tl14 0.8272 0.4054 0.2616
Tl15 0.8871 0.4073 0.7657
Tl16 0.9271 0.3739 0.5117
S1 0.0468 0.1687 0.9200
S2 0.1618 0.4021 0.3234
S3 0.2101 0.9681 0.0835
S4 0.2764 0.8307 0.3371
S5 0.2828 0.4932 0.6622
S6 0.4268 0.4895 0.1580
S7 0.4387 0.8337 0.8371
S8 0.5026 0.9666 0.5815
S9 0.5519 0.4100 0.8251
S10 0.6641 0.1661 0.4162
S11 0.7187 0.6046 0.6627
S12 0.7763 0.7397 0.4097
S13 0.7840 0.0830 0.0832
S14 0.9307 0.0901 0.5887
S15 0.9378 0.7475 0.9084
S16 0.9961 0.6077 0.1623
```

***

[4]
TiTlV4S8: theoretical XRD peak list (Cu Kα (λ = 1.5418 Å)), based on the GGA-PBE geometry in the Materials Project.
Peak positions follow from Bragg's law for the DFT cell and can differ from measured ones.

The 8 most intense peaks (2θ from 10° to 90°), in order of rising 2θ:
20.53 deg, I 65, (4 0 -1); 21.49 deg, I 55, (0 0 2); 30.00 deg, I 40, (1 1 1); 32.96 deg, I 51, (6 0 -2); 34.26 deg, I 100, (3 1 1); 35.79 deg, I 49, (3 1 -2); 42.56 deg, I 71, (3 1 -3); 53.52 deg, I 53, (9 1 -1)

Atomic structure:
```
data_TiTlV4S8
_symmetry_space_group_name_H-M 'C 1 2/m 1'
_symmetry_Int_Tables_number 12
_cell_length_a 18.0116
_cell_length_b 3.3072
_cell_length_c 8.5372
_cell_angle_alpha 90.00
_cell_angle_beta 104.38
_cell_angle_gamma 90.00
loop_
_symmetry_equiv_pos_as_xyz
'x,y,z'
'-x,-y,-z'
'-x,y,-z'
'x,-y,z'
'x+1/2,y+1/2,z'
'-x+1/2,-y+1/2,-z'
'-x+1/2,y+1/2,-z'
'x+1/2,-y+1/2,z'
loop_
_atom_site_label
_atom_site_fract_x
_atom_site_fract_y
_atom_site_fract_z
Ti1 0.0000 0.0000 0.0000
Tl1 0.0000 0.5000 0.5000
V1 0.1537 0.5000 0.9933
V2 0.2115 0.5000 0.3581
S1 0.0782 0.5000 0.1781
S2 0.0874 0.0000 0.8197
S3 0.1628 0.0000 0.5006
S4 0.2416 0.0000 0.1618
```

***

[5]
U8TiS17: theoretical XRD peak list (Cu Kα (λ = 1.5418 Å)), based on the GGA-PBE geometry in the Materials Project.
Peak positions follow from Bragg's law for the DFT cell and can differ from measured ones.

The 8 most intense peaks (2θ from 10° to 90°), in order of rising 2θ:
20.06 deg, I 40, (2 0 -2); 24.22 deg, I 59, (2 0 2); 25.36 deg, I 100, (2 2 0); 25.97 deg, I 60, (2 2 -1); 26.22 deg, I 50, (0 0 3); 27.31 deg, I 58, (2 0 -3); 27.59 deg, I 78, (0 2 2); 43.23 deg, I 37, (0 4 0)

Atomic structure:
```
data_U8TiS17
_symmetry_space_group_name_H-M 'C 1 2/m 1'
_symmetry_Int_Tables_number 12
_cell_length_a 13.1550
_cell_length_b 8.3713
_cell_length_c 10.3690
_cell_angle_alpha 90.00
_cell_angle_beta 100.90
_cell_angle_gamma 90.00
loop_
_symmetry_equiv_pos_as_xyz
'x,y,z'
'-x,-y,-z'
'-x,y,-z'
'x,-y,z'
'x+1/2,y+1/2,z'
'-x+1/2,-y+1/2,-z'
'-x+1/2,y+1/2,-z'
'x+1/2,-y+1/2,z'
loop_
_atom_site_label
_atom_site_fract_x
_atom_site_fract_y
_atom_site_fract_z
U1 0.0589 0.2418 0.2011
U2 0.1838 0.5000 0.5168
U3 0.2042 0.0000 0.9582
Ti1 0.0000 0.0000 0.5000
S1 0.0000 0.0000 0.0000
S2 0.0217 0.5000 0.6689
S3 0.0618 0.0000 0.7304
S4 0.1267 0.3056 0.9647
S5 0.1319 0.1934 0.4697
S6 0.1977 0.5000 0.2545
S7 0.2114 0.0000 0.2225
```

***

[6]
Ti2VS4: theoretical XRD peak list (Cu Kα (λ = 1.5418 Å)), based on the GGA-PBE geometry in the Materials Project.
Peak positions follow from Bragg's law for the DFT cell and can differ from measured ones.

The 8 most intense peaks (2θ from 10° to 90°), in order of rising 2θ:
16.69 deg, I 48, (2 0 -1); 33.75 deg, I 51, (4 0 -2); 34.19 deg, I 100, (1 1 1); 43.08 deg, I 43, (2 0 2); 43.63 deg, I 39, (6 0 -2); 43.78 deg, I 73, (3 1 1); 44.05 deg, I 87, (5 1 -1); 53.24 deg, I 70, (3 1 -3)

Atomic structure:
```
data_Ti2VS4
_symmetry_space_group_name_H-M 'C 1 2/m 1'
_symmetry_Int_Tables_number 12
_cell_length_a 13.0045
_cell_length_b 3.3579
_cell_length_c 6.0106
_cell_angle_alpha 90.00
_cell_angle_beta 116.84
_cell_angle_gamma 90.00
loop_
_symmetry_equiv_pos_as_xyz
'x,y,z'
'-x,-y,-z'
'-x,y,-z'
'x,-y,z'
'x+1/2,y+1/2,z'
'-x+1/2,-y+1/2,-z'
'-x+1/2,y+1/2,-z'
'x+1/2,-y+1/2,z'
loop_
_atom_site_label
_atom_site_fract_x
_atom_site_fract_y
_atom_site_fract_z
Ti1 0.2447 0.0000 0.2194
V1 0.0000 0.5000 0.5000
S1 0.1163 0.5000 0.9446
S2 0.1284 0.0000 0.4655
```

***

[7]
Ti4ZnS8: theoretical XRD peak list (Cu Kα (λ = 1.5418 Å)), based on the GGA-PBE geometry in the Materials Project.
Peak positions follow from Bragg's law for the DFT cell and can differ from measured ones.

The 8 most intense peaks (2θ from 10° to 90°), in order of rising 2θ:
14.18 deg, I 32, (0 0 3); 15.73 deg, I 17, (1 0 1); 17.75 deg, I 11, (0 1 2); 35.95 deg, I 100, (0 2 4); 49.69 deg, I 35, (2 0 8); 53.75 deg, I 28, (2 2 0); 66.37 deg, I 14, (4 0 4); 84.06 deg, I 13, (2 2 12)

Atomic structure:
```
data_Ti4ZnS8
_symmetry_space_group_name_H-M 'R -3 m'
_symmetry_Int_Tables_number 166
_symmetry_space_group_name_Hall '-R 3 2"'
_cell_length_a 6.8216
_cell_length_b 6.8216
_cell_length_c 18.7317
_cell_angle_alpha 90.00
_cell_angle_beta 90.00
_cell_angle_gamma 120.00
loop_
_atom_site_label
_atom_site_fract_x
_atom_site_fract_y
_atom_site_fract_z
Ti1 0.0000 0.0000 0.0000
Ti2 0.0000 0.5000 0.0000
Zn1 0.0000 0.0000 0.5000
S1 0.0000 0.0000 0.2583
S2 0.0035 0.5017 0.2552
```

***

[8]
Ti2ZnS5: theoretical XRD peak list (Cu Kα (λ = 1.5418 Å)), based on the GGA-PBE geometry in the Materials Project.
Peak positions follow from Bragg's law for the DFT cell and can differ from measured ones.

The 8 most intense peaks (2θ from 10° to 90°), in order of rising 2θ:
18.94 deg, I 100, (0 2 1); 27.58 deg, I 95, (1 0 1); 33.45 deg, I 48, (0 5 1); 38.14 deg, I 39, (1 5 0); 39.97 deg, I 95, (1 2 2); 47.39 deg, I 46, (2 0 0); 51.22 deg, I 44, (1 7 1); 51.46 deg, I 41, (1 0 3)

Atomic structure:
```
data_Ti2ZnS5
_symmetry_space_group_name_H-M 'P m m n'
_symmetry_Int_Tables_number 59
_cell_length_a 3.8367
_cell_length_b 14.9640
_cell_length_c 6.0101
_cell_angle_alpha 90.00
_cell_angle_beta 90.00
_cell_angle_gamma 90.00
loop_
_symmetry_equiv_pos_as_xyz
'x,y,z'
'-x,-y,-z'
'-x+1/2,-y+1/2,z'
'x+1/2,y+1/2,-z'
'x+1/2,-y,-z'
'-x+1/2,y,z'
'-x,y+1/2,-z'
'x,-y+1/2,z'
loop_
_atom_site_label
_atom_site_fract_x
_atom_site_fract_y
_atom_site_fract_z
Ti1 0.2500 0.0978 0.0692
Zn1 0.2500 0.7500 0.3879
S1 0.2500 0.1452 0.4146
S2 0.2500 0.2500 0.9000
S3 0.2500 0.5653 0.1444
```